1.
Computed powder diffractogram of BaMgCd4Ga2 for a wavelength of 1.5418 Å, from the PBE geometry in Alexandria.
Neutral-atom scattering factors, no anomalous dispersion.

Crystal structure
Unit cell a=10.526 b=10.526 c=10.526 alpha=26.60 beta=26.60 gamma=26.60
Positions (direct):
Ba: 0.000 0.000 0.000
Mg: 0.500 0.500 0.500
Cd: 0.130 0.130 0.130
Cd: 0.404 0.404 0.404
Cd: 0.596 0.596 0.596
Cd: 0.870 0.870 0.870
Ga: 0.240 0.240 0.240
Ga: 0.760 0.760 0.760

Principal peaks in the range 10 to 90 degrees two-theta, low angle first:
- 25.79°, I 27.2
- 29.59°, I 37.5
- 31.75°, I 75.5
- 37.12°, I 100.0
- 38.99°, I 25.5
- 49.63°, I 21.0

2.
Computed powder diffractogram of Rb2CuPSe4 for a wavelength of 1.5418 Å, from the PBE geometry in Alexandria.
Neutral-atom scattering factors, no anomalous dispersion.

Crystal structure
Unit cell a=14.142 b=12.801 c=7.437 alpha=84.22 beta=64.23 gamma=31.55
Positions (direct):
Rb: 0.056 0.056 0.694
Rb: 0.306 0.306 0.944
Rb: 0.694 0.694 0.056
Rb: 0.944 0.944 0.306
Cu: 0.125 0.125 0.125
Cu: 0.875 0.875 0.875
P: 0.375 0.375 0.375
P: 0.625 0.625 0.625
Se: 0.013 0.637 0.549
Se: 0.302 0.549 0.637
Se: 0.363 0.987 0.698
Se: 0.451 0.698 0.987
Se: 0.549 0.302 0.013
Se: 0.637 0.013 0.302
Se: 0.698 0.451 0.363
Se: 0.987 0.363 0.451

Principal peaks in the range 10 to 90 degrees two-theta, low angle first:
- 14.26°, I 38.8
- 24.69°, I 34.0
- 26.72°, I 80.8
- 29.74°, I 43.5
- 30.42°, I 100.0
- 36.22°, I 32.1

3.
Computed powder diffractogram of Ac4BiS3 for a wavelength of 1.5418 Å, from the PBE geometry in Alexandria.
Neutral-atom scattering factors, no anomalous dispersion.

Crystal structure
Unit cell a=4.439 b=6.351 c=8.971 alpha=90.00 beta=90.00 gamma=90.00
Positions (direct):
Ac: 0.000 0.000 0.000
Ac: 0.000 0.000 0.500
Ac: 0.500 0.500 0.227
Ac: 0.500 0.500 0.773
Bi: 0.000 0.500 0.500
S: 0.000 0.500 0.000
S: 0.500 0.000 0.246
S: 0.500 0.000 0.754

Principal peaks in the range 10 to 90 degrees two-theta, low angle first:
- 24.29°, I 31.9
- 24.47°, I 33.6
- 28.10°, I 52.5
- 28.29°, I 100.0
- 40.28°, I 96.1
- 65.87°, I 26.0